# 1
Calculated X-ray powder pattern of Tl2FeF6 for copper Kα, from a crystal structure in Alexandria, relaxed with PBE+U.
Kinematic intensities with the Lorentz-polarization factor, no thermal factor.

Principal peaks in the range 15° ≤ 2θ ≤ 90°, in order of rising 2θ:
| Position (°2θ) | intensity | h k l |
| --- | --- | --- |
| 19.43 | 17 | 1 0 1 |
| 24.46 | 100 | 1 0 2 |
| 30.45 | 51 | 1 1 0 |
| 36.38 | 11 | 2 0 1 |
| 39.44 | 40 | 2 0 2 |
| 46.61 | 37 | 1 1 4 |
| 50.63 | 28 | 2 1 2 |
| 63.37 | 11 | 2 2 0 |
| 65.73 | 13 | 3 0 4 |
| 69.00 | 12 | 3 1 2 |

Crystal structure
```
data_Tl2FeF6
_chemical_formula_sum 'Tl4 Fe2 F12'
_cell_length_a 5.8706
_cell_length_b 5.8706
_cell_length_c 10.4225
_cell_angle_alpha 90.00
_cell_angle_beta 90.00
_cell_angle_gamma 120.00
_space_group_name_H-M_alt 'P 63 m c'
_space_group_IT_number 186
_space_group_name_Hall 'P 6c -2c'
loop_
_atom_site_label
_atom_site_fract_x
_atom_site_fract_y
_atom_site_fract_z
Tl1 0.0000 0.0000 0.0000
Tl2 0.3333 0.6667 0.2440
Fe1 0.3333 0.6667 0.7066
F1 0.0160 0.5080 0.5957
F2 0.1732 0.3464 0.8058
```

=====

# 2
Calculated X-ray powder pattern of LiTiFeF6 for copper Kα, from a crystal structure in Alexandria, relaxed with PBE+U.
Kinematic intensities with the Lorentz-polarization factor, no thermal factor.

Principal peaks in the range 15° ≤ 2θ ≤ 90°, in order of rising 2θ:
| Position (°2θ) | intensity | h k l |
| --- | --- | --- |
| 19.93 | 76 | 1 1 0 |
| 22.32 | 69 | 0 1 1 |
| 27.72 | 99 | 1 1 1 |
| 30.09 | 45 | 2 0 1 |
| 36.35 | 40 | 1 2 1 |
| 40.05 | 92 | 0 3 1 |
| 45.12 | 21 | 2 2 1 |
| 53.08 | 100 | 0 3 2 |
| 55.53 | 20 | 2 3 1 |
| 62.53 | 44 | 3 3 0 |

Crystal structure
```
data_LiTiFeF6
_chemical_formula_sum 'Li3 Ti3 Fe3 F18'
_cell_length_a 8.9118
_cell_length_b 8.9118
_cell_length_c 4.6513
_cell_angle_alpha 90.00
_cell_angle_beta 90.00
_cell_angle_gamma 120.00
_space_group_name_H-M_alt 'P 3 2 1'
_space_group_IT_number 150
loop_
_space_group_symop_operation_xyz
'x,y,z'
'-y,x-y,z'
'-x+y,-x,z'
'y,x,-z'
'x-y,-y,-z'
'-x,-x+y,-z'
loop_
_atom_site_label
_atom_site_fract_x
_atom_site_fract_y
_atom_site_fract_z
Li1 0.0000 0.6934 0.0000
Ti1 0.0000 0.3514 0.5000
Fe1 0.0000 0.0000 0.5000
Fe2 0.3333 0.6667 0.9886
F1 0.1011 0.5589 0.7502
F2 0.1054 0.2351 0.7304
F3 0.2002 0.4390 0.2463
```

=====

What is the formula in the second record? LiTiFeF6